Structure and simulated powder XRD pattern of Cd4SeS3 (a structure optimized by DFT (PBE); λ = 1.5418 Å (Cu Kα)).
Kinematic intensities with the Lorentz-polarization factor, no thermal factor.

Top 6 peaks for 2θ = 10–90°, by intensity:
2θ = 25.75°, I = 100.0
2θ = 42.67°, I = 62.0
2θ = 50.51°, I = 44.1
2θ = 29.82°, I = 16.2
2θ = 78.12°, I = 14.1
2θ = 83.91°, I = 9.7

Structure:
Cell lengths 14.0683, 14.0683, 14.0683 Å; angles 17.32, 17.32, 17.32 degrees
Sites, in units of the cell vectors:
Cd: 0.0000 0.0000 0.0000
Cd: 0.2447 0.2447 0.2447
Cd: 0.4965 0.4965 0.4965
Cd: 0.7483 0.7483 0.7483
Se: 0.9356 0.9356 0.9356
S: 0.1830 0.1830 0.1830
S: 0.4347 0.4347 0.4347
S: 0.6865 0.6865 0.6865

Structure and simulated powder XRD pattern of PrLu2 (a structure optimized by DFT (PBE); λ = 1.5418 Å (Cu Kα)).
Kinematic intensities with the Lorentz-polarization factor, no thermal factor.

Top 6 peaks for 2θ = 10–90°, by intensity:
2θ = 30.85°, I = 100.0
2θ = 35.85°, I = 33.7
2θ = 61.34°, I = 28.5
2θ = 51.43°, I = 24.0
2θ = 35.62°, I = 16.9
2θ = 61.03°, I = 14.1

Structure:
Cell lengths 7.9664, 7.9664, 7.9664 Å; angles 154.31, 154.31, 36.65 degrees
Sites, in units of the cell vectors:
Pr: 0.0000 0.0000 0.0000
Lu: 0.3300 0.3300 0.0000
Lu: 0.6700 0.6700 0.0000

Structure and simulated powder XRD pattern of Al4Cu9 (a structure optimized by DFT (PBE); λ = 1.5418 Å (Cu Kα)).
Kinematic intensities with the Lorentz-polarization factor, no thermal factor.

Top 6 peaks for 2θ = 10–90°, by intensity:
2θ = 44.04°, I = 100.0
2θ = 80.99°, I = 19.6
2θ = 64.04°, I = 10.5
2θ = 30.75°, I = 7.6
2θ = 25.00°, I = 7.0
2θ = 22.79°, I = 4.2

Structure:
Cell lengths 8.7236, 8.7236, 8.7236 Å; angles 90.00, 90.00, 90.00 degrees
Sites, in units of the cell vectors:
Al: 0.0350 0.3091 0.3091
Al: 0.0350 0.6909 0.6909
Al: 0.3091 0.0350 0.3091
Al: 0.3091 0.3091 0.0350
Al: 0.3091 0.6909 0.9650
Al: 0.3091 0.9650 0.6909
Al: 0.3789 0.3789 0.6211
Al: 0.3789 0.6211 0.3789
Al: 0.6211 0.3789 0.3789
Al: 0.6211 0.6211 0.6211
Al: 0.6909 0.0350 0.6909
Al: 0.6909 0.3091 0.9650
Al: 0.6909 0.6909 0.0350
Al: 0.6909 0.9650 0.3091
Al: 0.9650 0.3091 0.6909
Al: 0.9650 0.6909 0.3091
Cu: 0.0000 0.0000 0.3553
Cu: 0.0000 0.0000 0.6447
Cu: 0.0000 0.3553 0.0000
Cu: 0.0000 0.6447 0.0000
Cu: 0.1056 0.1056 0.1056
Cu: 0.1056 0.8944 0.8944
Cu: 0.1439 0.5000 0.5000
Cu: 0.1749 0.1749 0.8251
Cu: 0.1749 0.8251 0.1749
Cu: 0.1840 0.1840 0.5306
Cu: 0.1840 0.4694 0.8159
Cu: 0.1840 0.5306 0.1840
Cu: 0.1840 0.8159 0.4694
Cu: 0.3312 0.3312 0.3312
Cu: 0.3312 0.6688 0.6688
Cu: 0.3553 0.0000 0.0000
Cu: 0.4694 0.1840 0.8159
Cu: 0.4694 0.8159 0.1840
Cu: 0.5000 0.1439 0.5000
Cu: 0.5000 0.5000 0.1439
Cu: 0.5000 0.5000 0.8561
Cu: 0.5000 0.8561 0.5000
Cu: 0.5306 0.1840 0.1840
Cu: 0.5306 0.8159 0.8159
Cu: 0.6447 0.0000 0.0000
Cu: 0.6688 0.3312 0.6688
Cu: 0.6688 0.6688 0.3312
Cu: 0.8159 0.1840 0.4694
Cu: 0.8159 0.4694 0.1840
Cu: 0.8159 0.5306 0.8159
Cu: 0.8159 0.8159 0.5306
Cu: 0.8251 0.1749 0.1749
Cu: 0.8251 0.8251 0.8251
Cu: 0.8561 0.5000 0.5000
Cu: 0.8944 0.1056 0.8944
Cu: 0.8944 0.8944 0.1056

Structure and simulated powder XRD pattern of Zn2BiPdS (a structure optimized by DFT (PBE); λ = 1.5418 Å (Cu Kα)).
Kinematic intensities with the Lorentz-polarization factor, no thermal factor.

Top 6 peaks for 2θ = 10–90°, by intensity:
2θ = 18.70°, I = 100.0
2θ = 31.40°, I = 55.2
2θ = 37.92°, I = 53.1
2θ = 51.29°, I = 44.1
2θ = 33.23°, I = 38.1
2θ = 38.40°, I = 34.2

Structure:
Cell lengths 4.7457, 4.7457, 5.3924 Å; angles 90.00, 90.00, 90.00 degrees
Sites, in units of the cell vectors:
Zn: 0.0000 0.5000 0.0000
Zn: 0.5000 0.0000 0.0000
Bi: 0.0000 0.0000 0.5000
Pd: 0.0000 0.0000 0.0000
S: 0.5000 0.5000 0.5000

Structure and simulated powder XRD pattern of Zn3W4 (a structure optimized by DFT (PBE); λ = 1.5418 Å (Cu Kα)).
Kinematic intensities with the Lorentz-polarization factor, no thermal factor.

Top 6 peaks for 2θ = 10–90°, by intensity:
2θ = 41.67°, I = 100.0
2θ = 36.83°, I = 79.7
2θ = 41.08°, I = 56.7
2θ = 69.64°, I = 43.9
2θ = 46.58°, I = 27.2
2θ = 42.78°, I = 19.2

Structure:
Cell lengths 4.8810, 4.8810, 5.0493 Å; angles 90.00, 90.00, 120.00 degrees
Sites, in units of the cell vectors:
Zn: 0.0000 0.5000 0.0000
Zn: 0.5000 0.0000 0.0000
Zn: 0.5000 0.5000 0.0000
W: 0.0000 0.0000 0.2583
W: 0.0000 0.0000 0.7417
W: 0.3333 0.6667 0.5000
W: 0.6667 0.3333 0.5000

Structure and simulated powder XRD pattern of BPd3S (a structure optimized by DFT (PBE); λ = 1.5418 Å (Cu Kα)).
Kinematic intensities with the Lorentz-polarization factor, no thermal factor.

Top 6 peaks for 2θ = 10–90°, by intensity:
2θ = 37.85°, I = 100.0
2θ = 38.01°, I = 82.4
2θ = 45.49°, I = 54.7
2θ = 41.15°, I = 31.9
2θ = 63.00°, I = 29.7
2θ = 24.52°, I = 25.9

Structure:
Cell lengths 3.9878, 3.9878, 8.7748 Å; angles 90.00, 90.00, 89.67 degrees
Sites, in units of the cell vectors:
B: 0.2143 0.7857 0.5000
B: 0.7857 0.2143 0.0000
Pd: 0.2178 0.2737 0.6087
Pd: 0.2737 0.2178 0.1087
Pd: 0.2921 0.7079 0.8735
Pd: 0.7079 0.2921 0.3735
Pd: 0.7263 0.7822 0.6087
Pd: 0.7822 0.7263 0.1087
S: 0.2878 0.7122 0.2940
S: 0.7122 0.2878 0.7940